(1)
The following is a theoretical X-ray diffraction stick pattern of LiSiSb2. It was derived from a GGA-PBE-relaxed structure, using copper Kα.
No peak broadening, texture or thermal motion is included.

Largest 10 diffraction maxima, by angle, 5 to 70 degrees two-theta:
2theta	intensity	(hkl)
25.2	33	0 0 2
27.7	100	1 1 1
34.7	22	0 2 0
35.4	36	2 0 0
43.4	15	0 2 2
43.9	15	2 0 2
46.0	30	1 1 3
50.4	15	2 2 0
57.2	13	2 2 2
58.0	17	1 3 1

Cell and atoms:
a = 5.071 Å, b = 5.170 Å, c = 7.070 Å
α = 90.00°, β = 90.00°, γ = 90.00°
Space group Cmm2 (No. 35)
Inequivalent atoms, fractional coordinates:
Li (0.000, 0.000, 0.000)
Si (0.000, 0.500, 0.786)
Sb (0.000, 0.000, 0.615)
Sb (0.000, 0.500, 0.171)

---

(2)
The following is a theoretical X-ray diffraction stick pattern of LiSiSb2. It was derived from a GGA-PBE-relaxed structure, using copper Kα.
No peak broadening, texture or thermal motion is included.

Largest 10 diffraction maxima, by angle, 5 to 70 degrees two-theta:
2theta	intensity	(hkl)
12.4	21	0 0 1
24.8	100	0 1 1
25.0	25	0 0 2
29.1	54	1 0 0
33.1	43	0 1 2
37.8	20	0 0 3
38.5	67	1 1 -1
44.6	34	1 1 2
48.4	21	1 0 3
53.2	19	1 2 0

Cell and atoms:
a = 3.073 Å, b = 4.160 Å, c = 7.133 Å
α = 90.00°, β = 90.09°, γ = 90.00°
Space group Pm (No. 6)
Inequivalent atoms, fractional coordinates:
Li (0.000, 0.000, 0.000)
Si (0.499, 0.500, 0.836)
Sb (0.498, 0.000, 0.590)
Sb (0.501, 0.500, 0.217)

---

(3)
The following is a theoretical X-ray diffraction stick pattern of LiSm5Sb4. It was derived from a GGA-PBE-relaxed structure, using copper Kα.
No peak broadening, texture or thermal motion is included.

Largest 10 diffraction maxima, by angle, 5 to 70 degrees two-theta:
2theta	intensity	(hkl)
24.5	13	1 2 1
28.1	38	0 0 2
28.5	100	3 1 0
31.0	14	1 1 2
40.5	60	3 1 2
40.8	37	2 4 0
50.3	32	2 4 2
66.1	12	3 1 4
66.7	13	6 2 2
66.9	16	5 5 0

Cell and atoms:
a = 9.890 Å, b = 9.890 Å, c = 6.341 Å
α = 90.00°, β = 90.00°, γ = 90.00°
Space group I4 (No. 79)
Inequivalent atoms, fractional coordinates:
Li (0.000, 0.000, 0.000)
Sm (0.000, 0.000, 0.472)
Sm (0.102, 0.688, 0.822)
Sb (0.101, 0.709, 0.324)

---

(4)
The following is a theoretical X-ray diffraction stick pattern of LiSnSb. It was derived from a GGA-PBE-relaxed structure, using copper Kα.
No peak broadening, texture or thermal motion is included.

Largest 10 diffraction maxima, by angle, 5 to 70 degrees two-theta:
2theta	intensity	(hkl)
26.1	81	0 2 0
26.4	95	0 0 2
26.9	100	2 0 0
37.4	62	0 2 2
37.8	67	2 2 0
38.0	79	2 0 2
44.5	22	1 1 3
46.7	61	2 2 2
55.5	22	4 0 0
62.5	27	4 0 2

Cell and atoms:
a = 6.626 Å, b = 6.834 Å, c = 6.762 Å
α = 90.00°, β = 90.00°, γ = 90.00°
Space group Ama2 (No. 40)
Inequivalent atoms, fractional coordinates:
Li (0.000, 0.000, 0.000)
Sn (0.250, 0.190, 0.684)
Sb (0.250, 0.251, 0.235)

---

(5)
The following is a theoretical X-ray diffraction stick pattern of LiTlSnSb. It was derived from a GGA-PBE-relaxed structure, using copper Kα.
No peak broadening, texture or thermal motion is included.

Largest 10 diffraction maxima, by angle, 5 to 70 degrees two-theta:
2theta	intensity	(hkl)
20.7	32	0 0 2
25.2	100	2 0 -1
25.9	22	1 1 -1
35.0	58	1 1 2
37.5	14	2 0 2
37.6	29	1 1 -3
43.9	37	0 2 0
49.0	13	0 2 2
51.3	10	2 2 -1
59.1	12	2 2 2

Cell and atoms:
a = 7.155 Å, b = 4.122 Å, c = 8.902 Å
α = 90.00°, β = 105.36°, γ = 90.00°
Space group Cm (No. 8)
Inequivalent atoms, fractional coordinates:
Li (0.000, 0.000, 0.000)
Tl (0.415, 0.000, 0.246)
Sn (0.038, 0.500, 0.613)
Sb (0.268, 0.000, 0.803)

---

(6)
The following is a theoretical X-ray diffraction stick pattern of LiVSnSb2. It was derived from a GGA-PBE-relaxed structure, using copper Kα.
No peak broadening, texture or thermal motion is included.

Largest 10 diffraction maxima, by angle, 5 to 70 degrees two-theta:
2theta	intensity	(hkl)
17.8	6	1 0 0
25.7	4	1 0 1
31.5	100	1 1 1
36.1	36	2 0 0
37.2	17	0 0 2
52.0	13	2 2 0
52.8	24	2 0 2
62.0	28	3 1 1
63.5	13	1 1 3
65.7	12	2 2 2

Cell and atoms:
a = 4.976 Å, b = 4.976 Å, c = 4.830 Å
α = 90.00°, β = 90.00°, γ = 90.00°
Space group P4/mmm (No. 123)
Inequivalent atoms, fractional coordinates:
Li (0.000, 0.000, 0.000)
V (0.500, 0.500, 0.500)
Sn (0.000, 0.000, 0.500)
Sb (0.000, 0.500, 0.000)

---

Repeat the fourth record exactly.
The following is a theoretical X-ray diffraction stick pattern of LiSnSb. It was derived from a GGA-PBE-relaxed structure, using copper Kα.
No peak broadening, texture or thermal motion is included.

Largest 10 diffraction maxima, by angle, 5 to 70 degrees two-theta:
2theta	intensity	(hkl)
26.1	81	0 2 0
26.4	95	0 0 2
26.9	100	2 0 0
37.4	62	0 2 2
37.8	67	2 2 0
38.0	79	2 0 2
44.5	22	1 1 3
46.7	61	2 2 2
55.5	22	4 0 0
62.5	27	4 0 2

Cell and atoms:
a = 6.626 Å, b = 6.834 Å, c = 6.762 Å
α = 90.00°, β = 90.00°, γ = 90.00°
Space group Ama2 (No. 40)
Inequivalent atoms, fractional coordinates:
Li (0.000, 0.000, 0.000)
Sn (0.250, 0.190, 0.684)
Sb (0.250, 0.251, 0.235)